Structure and computed powder diffraction line list of La7Sm5 (a GGA-PBE-relaxed structure; Cu Kα (λ = 1.5418 Å)).
Lines closer than 0.1° are merged.

Main lines, low angle first (10 to 90 degrees two-theta):
d 3.108, intensity 42; d 2.987, intensity 34; d 2.834, intensity 100; d 2.503, intensity 23; d 1.693, intensity 22; d 1.579, intensity 20

Structural model:
Cell lengths 9.8474, 9.8474, 13.5747 Å; angles 117.79, 117.79, 21.73 degrees
Atoms (fractional coordinates):
La 0.0000 0.0000 0.0000
La 0.1406 0.1406 0.7517
La 0.1672 0.1672 0.5022
La 0.4734 0.4734 0.7500
La 0.5266 0.5266 0.2500
La 0.8328 0.8328 0.4978
La 0.8594 0.8594 0.2483
Sm 0.1924 0.1924 0.2489
Sm 0.3317 0.3317 0.9959
Sm 0.5000 0.5000 0.5000
Sm 0.6683 0.6683 0.0041
Sm 0.8076 0.8076 0.7511



Structure and computed powder diffraction line list of Nd6Er5 (a GGA-PBE-relaxed structure; Cu Kα (λ = 1.5418 Å)).
Lines closer than 0.1° are merged.

Main lines, low angle first (10 to 90 degrees two-theta):
d 2.997, intensity 47; d 2.984, intensity 52; d 2.844, intensity 100; d 2.702, intensity 73; d 2.672, intensity 33; d 1.619, intensity 31

Structural model:
Cell lengths 8.4296, 8.4296, 6.0679 Å; angles 105.91, 105.91, 104.84 degrees
Atoms (fractional coordinates):
Nd 0.0459 0.3265 0.6140
Nd 0.1842 0.1842 0.0935
Nd 0.3265 0.0459 0.6140
Nd 0.6735 0.9541 0.3860
Nd 0.8158 0.8158 0.9065
Nd 0.9541 0.6735 0.3860
Er 0.2334 0.7666 0.0000
Er 0.3706 0.6294 0.5000
Er 0.5000 0.5000 0.0000
Er 0.6294 0.3706 0.5000
Er 0.7666 0.2334 0.0000



Q: Number 2 is which compound?
A: Nd6Er5